Record 1
Structure and calculated XRD peak list of AcHoTeO5 (a GGA-PBE-relaxed structure; copper Kα).

Crystal structure
```
AcHoTeO5
1.0
4.026 -4.733 0.000
4.026 4.733 0.000
-3.553 0.000 7.338
Ac Ho Te O
2 2 2 10
Direct
0.059 0.941 0.750
0.941 0.059 0.250
0.000 0.500 0.000
0.500 0.000 0.500
0.464 0.536 0.750
0.536 0.464 0.250
0.190 0.810 0.250
0.195 0.233 0.077
0.233 0.195 0.577
0.278 0.634 0.893
0.366 0.722 0.607
0.634 0.278 0.393
0.722 0.366 0.107
0.767 0.805 0.423
0.805 0.767 0.923
0.810 0.190 0.750
```

Principal peaks in the range 5 to 70 degrees two-theta, sorted by position:
Position (°2θ), Rel. int.
22.7, 88
26.0, 100
30.8, 86
31.1, 70
31.2, 92
35.0, 23
42.0, 34
48.8, 30
49.2, 57
52.8, 27
53.1, 22
53.4, 35

***

Record 2
Structure and calculated XRD peak list of CaCeC (a GGA-PBE-relaxed structure; copper Kα).

Crystal structure
```
CaCeC
1.0
3.659 0.000 0.000
-1.830 3.169 0.000
0.000 0.000 6.471
Ca Ce C
1 1 1
Direct
0.000 0.000 0.000
0.333 0.667 0.429
0.667 0.333 0.253
```

Principal peaks in the range 5 to 70 degrees two-theta, sorted by position:
Position (°2θ), Rel. int.
13.7, 56
27.6, 23
28.2, 34
31.4, 100
39.8, 38
49.8, 19
51.2, 23
51.9, 11
57.9, 17
60.1, 15
64.7, 11
65.6, 9